Entry 1:
Theoretical PXRD pattern
Compound: Y7Te2Au2
Radiation: λ = 1.5418 Å (Cu Kα)
Structure: a PBE-relaxed structure
Neutral-atom scattering factors, no anomalous dispersion.

Cell and atoms:
abc: 9.483 9.483 9.483
angles: 155.20 68.18 117.65
Fractional positions:
Y1 0.000 0.000 0.000
Y2 0.063 0.379 0.684
Y3 0.101 0.742 0.360
Y4 0.382 0.742 0.640
Y5 0.463 0.588 0.875
Y6 0.695 0.379 0.316
Y7 0.713 0.588 0.125
Te1 0.340 0.340 0.000
Te2 0.741 0.241 0.500
Au1 0.314 0.077 0.237
Au2 0.841 0.077 0.763

Top 12 peaks for 2θ = 10–90°, sorted by position:
Position (°2θ)	Rel. int.
11.3	17
21.3	34
29.1	29
29.9	13
32.3	25
33.0	100
33.3	32
35.2	20
37.0	40
39.0	18
44.5	25
49.9	13

Entry 2:
Theoretical PXRD pattern
Compound: ThAu2
Radiation: λ = 1.5418 Å (Cu Kα)
Structure: a PBE-relaxed structure
Neutral-atom scattering factors, no anomalous dispersion.

Cell and atoms:
abc: 4.821 4.821 3.447
angles: 90.00 90.00 120.00
Fractional positions:
Th1 0.000 0.000 0.000
Au1 0.333 0.667 0.500
Au2 0.667 0.333 0.500

Top 12 peaks for 2θ = 10–90°, sorted by position:
Position (°2θ)	Rel. int.
25.8	6
33.7	100
37.3	83
45.9	7
51.2	32
53.1	10
65.0	31
66.7	31
67.3	15
79.5	10
88.2	7
89.2	14

Entry 3:
Theoretical PXRD pattern
Compound: Th2Au
Radiation: λ = 1.5418 Å (Cu Kα)
Structure: a PBE-relaxed structure
Neutral-atom scattering factors, no anomalous dispersion.

Cell and atoms:
abc: 6.090 6.090 6.090
angles: 104.34 104.34 120.30
Fractional positions:
Th1 0.157 0.657 0.815
Th2 0.343 0.157 0.500
Th3 0.657 0.843 0.500
Th4 0.843 0.343 0.185
Au1 0.250 0.250 0.000
Au2 0.750 0.750 0.000

Top 12 peaks for 2θ = 10–90°, sorted by position:
Position (°2θ)	Rel. int.
30.6	100
33.9	12
34.1	36
38.1	46
38.2	33
52.7	14
53.0	22
55.0	9
58.0	18
60.8	25
69.5	14
74.4	14

Entry 4:
Theoretical PXRD pattern
Compound: Th3Au4
Radiation: λ = 1.5418 Å (Cu Kα)
Structure: a PBE-relaxed structure
Neutral-atom scattering factors, no anomalous dispersion.

Cell and atoms:
abc: 8.303 8.303 8.303
angles: 113.88 113.88 113.88
Fractional positions:
Th1 0.026 0.404 0.283
Th2 0.283 0.026 0.404
Th3 0.404 0.283 0.026
Th4 0.596 0.717 0.974
Th5 0.717 0.974 0.596
Th6 0.974 0.596 0.717
Au1 0.000 0.000 0.000
Au2 0.067 0.229 0.562
Au3 0.229 0.562 0.067
Au4 0.438 0.933 0.771
Au5 0.500 0.500 0.500
Au6 0.562 0.067 0.229
Au7 0.771 0.438 0.933
Au8 0.933 0.771 0.438

Top 12 peaks for 2θ = 10–90°, sorted by position:
Position (°2θ)	Rel. int.
30.3	35
32.2	11
34.1	100
34.7	82
35.5	16
39.4	22
48.2	11
49.5	18
61.4	12
61.9	13
65.8	14
74.8	12

Entry 5:
Theoretical PXRD pattern
Compound: ThAu3
Radiation: λ = 1.5418 Å (Cu Kα)
Structure: a PBE-relaxed structure
Neutral-atom scattering factors, no anomalous dispersion.

Cell and atoms:
abc: 6.534 6.534 4.809
angles: 90.00 90.00 120.00
Fractional positions:
Th1 0.333 0.667 0.250
Th2 0.667 0.333 0.750
Au1 0.157 0.313 0.750
Au2 0.157 0.843 0.750
Au3 0.313 0.157 0.250
Au4 0.687 0.843 0.750
Au5 0.843 0.157 0.250
Au6 0.843 0.687 0.250

Top 12 peaks for 2θ = 10–90°, sorted by position:
Position (°2θ)	Rel. int.
31.6	25
36.9	100
37.4	22
49.8	14
56.3	19
66.0	3
67.1	18
69.2	15
69.6	21
78.4	4
79.8	3
88.3	3

Entry 6:
Theoretical PXRD pattern
Compound: ThAu
Radiation: λ = 1.5418 Å (Cu Kα)
Structure: a PBE-relaxed structure
Neutral-atom scattering factors, no anomalous dispersion.

Cell and atoms:
abc: 6.303 6.303 4.607
angles: 90.00 90.00 145.02
Fractional positions:
Th1 0.151 0.849 0.750
Th2 0.849 0.151 0.250
Au1 0.425 0.575 0.750
Au2 0.575 0.425 0.250

Top 12 peaks for 2θ = 10–90°, sorted by position:
Position (°2θ)	Rel. int.
29.7	22
31.5	100
32.5	37
35.7	51
38.1	56
39.1	34
48.0	19
51.7	21
59.1	19
61.2	22
63.6	17
73.1	21

Entry 7:
Theoretical PXRD pattern
Compound: ThAu3
Radiation: λ = 1.5418 Å (Cu Kα)
Structure: a PBE-relaxed structure
Neutral-atom scattering factors, no anomalous dispersion.

Cell and atoms:
abc: 5.003 5.003 5.003
angles: 60.00 60.00 60.00
Fractional positions:
Th1 0.000 0.000 0.000
Au1 0.250 0.250 0.250
Au2 0.500 0.500 0.500
Au3 0.750 0.750 0.750

Top 5 peaks for 2θ = 10–90°, sorted by position:
Position (°2θ)	Rel. int.
35.9	100
51.7	18
64.5	37
76.1	12
87.1	17

Entry 8:
Theoretical PXRD pattern
Compound: ThZnAu2
Radiation: λ = 1.5418 Å (Cu Kα)
Structure: a PBE-relaxed structure
Neutral-atom scattering factors, no anomalous dispersion.

Cell and atoms:
abc: 4.985 4.985 4.985
angles: 60.00 60.00 60.00
Fractional positions:
Th1 0.000 0.000 0.000
Zn1 0.500 0.500 0.500
Au1 0.250 0.250 0.250
Au2 0.750 0.750 0.750

Top 12 peaks for 2θ = 10–90°, sorted by position:
Position (°2θ)	Rel. int.
21.8	11
25.3	3
36.0	100
42.5	6
51.9	18
56.9	3
58.6	1
64.8	37
69.3	2
76.4	12
80.6	2
87.5	17

Entry 9:
Theoretical PXRD pattern
Compound: TlAu3
Radiation: λ = 1.5418 Å (Cu Kα)
Structure: a PBE-relaxed structure
Neutral-atom scattering factors, no anomalous dispersion.

Cell and atoms:
abc: 5.460 5.460 5.460
angles: 134.69 134.69 66.01
Fractional positions:
Tl1 0.000 0.000 0.000
Au1 0.250 0.750 0.500
Au2 0.500 0.500 0.000
Au3 0.750 0.250 0.500

Top 9 peaks for 2θ = 10–90°, sorted by position:
Position (°2θ)	Rel. int.
36.0	100
39.4	20
43.0	31
59.7	24
62.4	10
69.2	15
74.2	25
76.4	12
84.7	2

Entry 10:
Theoretical PXRD pattern
Compound: TlAu3
Radiation: λ = 1.5418 Å (Cu Kα)
Structure: a PBE-relaxed structure
Neutral-atom scattering factors, no anomalous dispersion.

Cell and atoms:
abc: 4.326 4.326 4.326
angles: 90.00 90.00 90.00
Fractional positions:
Tl1 0.000 0.000 0.000
Au1 0.000 0.500 0.500
Au2 0.500 0.000 0.500
Au3 0.500 0.500 0.000

Top 5 peaks for 2θ = 10–90°, sorted by position:
Position (°2θ)	Rel. int.
36.0	100
41.8	50
60.5	34
72.5	40
76.2	12

Entry 11:
Theoretical PXRD pattern
Compound: TmAu3
Radiation: λ = 1.5418 Å (Cu Kα)
Structure: a PBE-relaxed structure
Neutral-atom scattering factors, no anomalous dispersion.

Cell and atoms:
abc: 5.035 6.085 5.176
angles: 90.00 90.00 90.00
Fractional positions:
Tm1 0.250 0.250 0.155
Tm2 0.750 0.750 0.845
Au1 0.250 0.504 0.659
Au2 0.250 0.750 0.157
Au3 0.250 0.996 0.659
Au4 0.750 0.004 0.341
Au5 0.750 0.250 0.843
Au6 0.750 0.496 0.341

Top 12 peaks for 2θ = 10–90°, sorted by position:
Position (°2θ)	Rel. int.
34.2	30
35.7	45
38.7	100
39.1	59
50.2	21
60.9	10
61.8	18
66.1	21
66.4	13
72.6	12
73.5	22
74.8	18

Entry 12:
Theoretical PXRD pattern
Compound: TmAu4
Radiation: λ = 1.5418 Å (Cu Kα)
Structure: a PBE-relaxed structure
Neutral-atom scattering factors, no anomalous dispersion.

Cell and atoms:
abc: 5.225 5.225 5.225
angles: 99.32 99.32 132.53
Fractional positions:
Tm1 0.000 0.000 0.000
Au1 0.200 0.400 0.600
Au2 0.400 0.800 0.200
Au3 0.600 0.200 0.800
Au4 0.800 0.600 0.400

Top 8 peaks for 2θ = 10–90°, sorted by position:
Position (°2θ)	Rel. int.
36.6	100
42.3	34
43.0	16
61.3	11
61.9	22
73.5	27
74.6	13
77.8	12

Entry 13:
Theoretical PXRD pattern
Compound: Tm2Au
Radiation: λ = 1.5418 Å (Cu Kα)
Structure: a PBE-relaxed structure
Neutral-atom scattering factors, no anomalous dispersion.

Cell and atoms:
abc: 7.025 4.874 8.826
angles: 90.00 90.00 90.00
Fractional positions:
Tm1 0.019 0.250 0.179
Tm2 0.150 0.250 0.576
Tm3 0.350 0.750 0.076
Tm4 0.481 0.750 0.679
Tm5 0.519 0.250 0.321
Tm6 0.650 0.250 0.924
Tm7 0.850 0.750 0.424
Tm8 0.981 0.750 0.821
Au1 0.244 0.250 0.898
Au2 0.256 0.750 0.398
Au3 0.744 0.250 0.602
Au4 0.756 0.750 0.102

Top 12 peaks for 2θ = 10–90°, sorted by position:
Position (°2θ)	Rel. int.
30.1	52
31.4	26
32.6	18
33.0	100
35.6	62
36.9	53
43.8	18
44.1	14
44.3	18
58.5	17
60.7	15
81.1	14

Entry 14:
Theoretical PXRD pattern
Compound: Tm2ZnAu
Radiation: λ = 1.5418 Å (Cu Kα)
Structure: a PBE-relaxed structure
Neutral-atom scattering factors, no anomalous dispersion.

Cell and atoms:
abc: 5.007 5.007 5.007
angles: 60.00 60.00 60.00
Fractional positions:
Tm1 0.250 0.250 0.250
Tm2 0.750 0.750 0.750
Zn1 0.000 0.000 0.000
Au1 0.500 0.500 0.500

Top 12 peaks for 2θ = 10–90°, sorted by position:
Position (°2θ)	Rel. int.
21.7	10
25.2	2
35.9	100
42.3	6
51.6	18
56.7	2
58.3	1
64.5	36
68.9	2
76.0	11
80.2	2
87.0	17

Entry 15:
Theoretical PXRD pattern
Compound: UAu2
Radiation: λ = 1.5418 Å (Cu Kα)
Structure: a PBE-relaxed structure
Neutral-atom scattering factors, no anomalous dispersion.

Cell and atoms:
abc: 4.879 4.879 3.015
angles: 90.00 90.00 120.00
Fractional positions:
U1 0.000 0.000 0.000
Au1 0.333 0.667 0.500
Au2 0.667 0.333 0.500

Top 12 peaks for 2θ = 10–90°, sorted by position:
Position (°2θ)	Rel. int.
29.6	4
36.6	95
36.8	100
48.0	7
52.9	34
61.5	8
66.2	35
66.4	19
73.9	28
74.3	2
78.4	12
89.8	17

Entry 16:
Theoretical PXRD pattern
Compound: V3Au
Radiation: λ = 1.5418 Å (Cu Kα)
Structure: a PBE-relaxed structure
Neutral-atom scattering factors, no anomalous dispersion.

Cell and atoms:
abc: 3.878 3.878 3.878
angles: 90.00 90.00 90.00
Fractional positions:
V1 0.000 0.000 0.500
V2 0.000 0.500 0.000
V3 0.500 0.000 0.000
Au1 0.500 0.500 0.500

Top 11 peaks for 2θ = 10–90°, sorted by position:
Position (°2θ)	Rel. int.
22.9	56
32.7	48
40.3	100
46.8	48
52.8	26
58.3	20
68.4	30
73.2	13
77.9	9
82.5	36
87.0	11